# NaLaP2O7
Theoretical XRD peak list, Cu Kα (weighted mean of Kα1 and Kα2). Input: DFT lattice parameters and positions (GGA-PBE).

Largest 10 diffraction maxima, in order of rising 2θ, 2θ from 15° to 90°:
d [Å], two_theta, I_rel, h k l
4.946, 17.9, 42, 0 1 1
4.384, 20.3, 37, 2 0 0
4.149, 21.4, 35, 2 0 1
3.393, 26.3, 51, 2 1 0
3.346, 26.6, 92, 0 1 3
3.281, 27.2, 100, 2 1 1
2.680, 33.4, 41, 0 2 0
2.660, 33.7, 34, 2 1 3
2.161, 41.8, 44, 4 0 1
2.017, 44.9, 55, 2 2 3

Crystal structure
abc: 8.769 5.359 12.848
angles: 90.00 90.00 90.00
Space group Pnma (No. 62)
Symmetry-distinct sites (fractional):
1 Na 0.123 0.250 0.077 (multiplicity 4)
2 La 0.186 0.250 0.764 (multiplicity 4)
3 P 0.014 0.250 0.317 (multiplicity 4)
4 P 0.238 0.750 0.966 (multiplicity 4)
5 O 0.070 0.008 0.263 (multiplicity 8)
6 O 0.082 0.250 0.434 (multiplicity 4)
7 O 0.158 0.750 0.677 (multiplicity 4)
8 O 0.164 0.514 0.921 (multiplicity 8)
9 O 0.238 0.750 0.084 (multiplicity 4)